Pm4Er15Sc: calculated powder X-ray diffraction pattern (Cu Ka), based on a PBE-relaxed structure.
Kinematic intensities with the Lorentz-polarization factor, no thermal factor.

Cell and atoms:
a = 6.093 Å, b = 6.093 Å, c = 17.624 Å
α = 90.00°, β = 90.00°, γ = 109.19°
Element x y z (fractional)
Pm 0.000 0.000 0.101
Pm 0.000 0.000 0.304
Pm 0.000 0.000 0.696
Pm 0.000 0.000 0.899
Er 0.000 0.500 0.000
Er 0.000 0.500 0.202
Er 0.000 0.500 0.403
Er 0.000 0.500 0.597
Er 0.000 0.500 0.798
Er 0.500 0.000 0.000
Er 0.500 0.000 0.202
Er 0.500 0.000 0.403
Er 0.500 0.000 0.597
Er 0.500 0.000 0.798
Er 0.500 0.500 0.100
Er 0.500 0.500 0.302
Er 0.500 0.500 0.500
Er 0.500 0.500 0.698
Er 0.500 0.500 0.900
Sc 0.000 0.000 0.500

Main lines, by angle (15 to 90 degrees two-theta):
- 31.10 deg, d 2.876, I 100
- 36.01 deg, d 2.494, I 34
- 36.18 deg, d 2.483, I 17
- 51.95 deg, d 1.760, I 30
- 61.70 deg, d 1.503, I 28
- 61.92 deg, d 1.499, I 14
- 64.85 deg, d 1.438, I 12
- 84.92 deg, d 1.142, I 12